(1)
Diffraction record for InNi2Ir. The powder diffraction line list is simulated, not measured: it uses a structure optimized by DFT (PBE) and Cu Kα (weighted mean of Kα1 and Kα2).
Neutral-atom scattering factors, no anomalous dispersion.

Crystal structure
Lattice parameters (Å, degrees): 4.6781 4.6781 4.6781 131.16 131.16 71.56
Sites, in units of the cell vectors:
In 0.0000 0.0000 0.0000
Ni 0.5000 0.5000 0.0000
Ni 0.7500 0.2500 0.5000
Ir 0.2500 0.7500 0.5000

Most intense lines, 10 to 90 degrees two-theta, by angle:
2θ (°)	I (rel.)
25.85	305
40.66	1000
46.98	328
47.94	154
54.40	85
68.62	102
69.38	198
82.93	243
84.35	130
88.03	107

(2)
Diffraction record for YIn2IrO8. The powder diffraction line list is simulated, not measured: it uses a structure optimized by DFT (PBE) and Cu Kα (weighted mean of Kα1 and Kα2).
Neutral-atom scattering factors, no anomalous dispersion.

Crystal structure
Lattice parameters (Å, degrees): 4.9471 6.6363 4.9503 90.00 91.05 90.00
Sites, in units of the cell vectors:
Y 0.0000 0.0000 0.0000
In 0.5000 0.2508 0.5000
In 0.5000 0.7492 0.5000
Ir 0.0000 0.5000 0.0000
O 0.1869 0.2889 0.8147
O 0.1869 0.7111 0.8147
O 0.2821 0.5000 0.2838
O 0.3096 0.0000 0.3113
O 0.6904 0.0000 0.6887
O 0.7179 0.5000 0.7162
O 0.8131 0.2889 0.1853
O 0.8131 0.7111 0.1853

Most intense lines, 10 to 90 degrees two-theta, by angle:
2θ (°)	I (rel.)
13.34	120
22.41	132
25.22	622
25.70	574
32.49	1000
36.31	286
49.24	414
49.78	388
62.93	233
68.04	107

(3)
Diffraction record for PaInSi2Ir5. The powder diffraction line list is simulated, not measured: it uses a structure optimized by DFT (PBE) and Cu Kα (weighted mean of Kα1 and Kα2).
Neutral-atom scattering factors, no anomalous dispersion.

Crystal structure
Lattice parameters (Å, degrees): 3.9375 3.9375 11.1812 90.00 90.00 90.00
Sites, in units of the cell vectors:
Pa 0.0000 0.0000 0.0000
In 0.0000 0.0000 0.5000
Si 0.5000 0.5000 0.2114
Si 0.5000 0.5000 0.7886
Ir 0.0000 0.5000 0.3242
Ir 0.0000 0.5000 0.6758
Ir 0.5000 0.0000 0.3242
Ir 0.5000 0.0000 0.6758
Ir 0.5000 0.5000 0.0000

Most intense lines, 10 to 90 degrees two-theta, by angle:
2θ (°)	I (rel.)
23.88	854
33.16	612
36.04	1000
40.44	197
46.07	884
48.87	188
52.53	730
69.45	266
76.22	174
78.74	215

(4)
Diffraction record for Pm4InIr2. The powder diffraction line list is simulated, not measured: it uses a structure optimized by DFT (PBE) and Cu Kα (weighted mean of Kα1 and Kα2).
Neutral-atom scattering factors, no anomalous dispersion.

Crystal structure
Lattice parameters (Å, degrees): 7.0683 7.1041 8.8532 107.74 107.63 103.89
Sites, in units of the cell vectors:
Pm 0.0000 0.0000 0.0000
Pm 0.0353 0.7141 0.5805
Pm 0.1004 0.2789 0.7103
Pm 0.2613 0.5998 0.1711
Pm 0.5047 0.5507 0.5729
Pm 0.5789 0.1244 0.7206
Pm 0.6449 0.1466 0.2921
Pm 0.7365 0.5763 0.1209
In 0.1694 0.0340 0.3811
In 0.4316 0.7988 0.9111
Ir 0.0446 0.3681 0.3177
Ir 0.3734 0.1976 0.9744
Ir 0.7075 0.8588 0.4599
Ir 0.8949 0.5452 0.8323

Most intense lines, 10 to 90 degrees two-theta, by angle:
2θ (°)	I (rel.)
28.15	409
31.40	1000
31.81	502
32.30	787
34.18	352
35.03	643
36.37	250
40.01	302
42.25	244
43.16	236

(5)
Diffraction record for PmInIr. The powder diffraction line list is simulated, not measured: it uses a structure optimized by DFT (PBE) and Cu Kα (weighted mean of Kα1 and Kα2).
Neutral-atom scattering factors, no anomalous dispersion.

Crystal structure
Lattice parameters (Å, degrees): 7.4963 4.2080 12.8904 90.00 91.30 90.00
Sites, in units of the cell vectors:
Pm 0.0395 0.2500 0.1223
Pm 0.1560 0.2500 0.4189
Pm 0.4515 0.7500 0.7853
Pm 0.5485 0.2500 0.2147
Pm 0.8440 0.7500 0.5811
Pm 0.9605 0.7500 0.8777
In 0.1203 0.2500 0.7040
In 0.3582 0.7500 0.0438
In 0.4945 0.7500 0.4136
In 0.5055 0.2500 0.5864
In 0.6418 0.2500 0.9562
In 0.8797 0.7500 0.2960
Ir 0.2471 0.7500 0.2490
Ir 0.2535 0.7500 0.5845
Ir 0.2536 0.2500 0.9150
Ir 0.7464 0.7500 0.0850
Ir 0.7465 0.2500 0.4155
Ir 0.7529 0.2500 0.7510

Most intense lines, 10 to 90 degrees two-theta, by angle:
2θ (°)	I (rel.)
31.94	790
32.26	368
34.73	523
35.13	1000
41.40	260
42.07	285
42.26	250
42.99	577
43.14	204
61.70	219

(6)
Diffraction record for Pm4In5Ir2. The powder diffraction line list is simulated, not measured: it uses a structure optimized by DFT (PBE) and Cu Kα (weighted mean of Kα1 and Kα2).
Neutral-atom scattering factors, no anomalous dispersion.

Crystal structure
Lattice parameters (Å, degrees): 7.7864 3.7812 9.7635 90.00 93.79 90.00
Sites, in units of the cell vectors:
Pm 0.1729 0.0000 0.3509
Pm 0.2210 0.0000 0.9435
Pm 0.7790 0.0000 0.0565
Pm 0.8271 0.0000 0.6491
In 0.1769 0.5000 0.6517
In 0.4499 0.5000 0.1777
In 0.5000 0.5000 0.5000
In 0.5501 0.5000 0.8223
In 0.8231 0.5000 0.3483
Ir 0.0736 0.5000 0.1400
Ir 0.9264 0.5000 0.8600

Most intense lines, 10 to 90 degrees two-theta, by angle:
2θ (°)	I (rel.)
11.39	556
31.65	751
32.55	1000
33.06	761
34.64	359
34.80	616
36.47	677
37.23	972
37.98	350
48.13	459